Entry 1:
Calculated X-ray diffraction stick pattern
Compound: CrP2O7
Radiation: Cu Kα (weighted mean of Kα1 and Kα2)
Structure: a GGA+U-relaxed structure
No peak broadening, texture or thermal motion is included.

Main lines, low angle first (2θ = 10–90°):
2theta  d [Å]  I/Imax
14.45  6.128  18
15.57  5.691  19
16.98  5.220  90
18.45  4.809  91
21.66  4.103  17
24.65  3.612  17
27.55  3.238  28
27.96  3.191  75
29.12  3.067  100
29.42  3.036  90

Crystal structure
Lattice parameters (Å, degrees): 6.146 6.577 7.281 90.68 96.46 111.06
Element x y z (fractional)
Cr 0.118 0.239 0.291
Cr 0.882 0.761 0.709
P 0.222 0.242 0.881
P 0.322 0.636 0.618
P 0.678 0.364 0.382
P 0.778 0.758 0.119
O 0.007 0.074 0.765
O 0.141 0.329 0.054
O 0.188 0.783 0.666
O 0.241 0.529 0.423
O 0.288 0.454 0.762
O 0.415 0.216 0.357
O 0.431 0.182 0.935
O 0.569 0.818 0.065
O 0.585 0.784 0.643
O 0.712 0.546 0.238
O 0.759 0.471 0.577
O 0.812 0.217 0.334
O 0.859 0.671 0.946
O 0.993 0.926 0.235



Entry 2:
Calculated X-ray diffraction stick pattern
Compound: Cr3P4O14
Radiation: Cu Kα (weighted mean of Kα1 and Kα2)
Structure: a GGA+U-relaxed structure
No peak broadening, texture or thermal motion is included.

Main lines, low angle first (2θ = 10–90°):
2theta  d [Å]  I/Imax
11.07  7.992  42
17.54  5.056  29
22.07  4.027  28
25.90  3.440  50
26.57  3.355  63
29.14  3.064  20
30.31  2.949  100
31.08  2.878  45
31.40  2.849  20
31.89  2.807  22

Crystal structure
Lattice parameters (Å, degrees): 5.280 6.413 16.226 83.66 80.97 74.29
Element x y z (fractional)
Cr 0.042 0.127 0.322
Cr 0.190 0.777 0.093
Cr 0.236 0.478 0.817
Cr 0.764 0.522 0.183
Cr 0.810 0.223 0.907
Cr 0.958 0.873 0.678
P 0.188 0.601 0.296
P 0.307 0.273 0.048
P 0.374 0.934 0.816
P 0.442 0.268 0.425
P 0.558 0.732 0.575
P 0.626 0.066 0.184
P 0.693 0.727 0.952
P 0.812 0.399 0.704
O 0.003 0.454 0.288
O 0.030 0.818 0.326
O 0.117 0.472 0.090
O 0.171 0.090 0.053
O 0.190 0.160 0.838
O 0.216 0.803 0.780
O 0.259 0.829 0.591
O 0.287 0.117 0.400
O 0.343 0.348 0.510
O 0.362 0.622 0.209
O 0.363 0.053 0.232
O 0.398 0.480 0.355
O 0.425 0.333 0.959
O 0.430 0.802 0.905
O 0.570 0.198 0.095
O 0.575 0.667 0.041
O 0.602 0.520 0.645
O 0.637 0.947 0.768
O 0.638 0.378 0.791
O 0.657 0.652 0.490
O 0.713 0.883 0.600
O 0.741 0.171 0.409
O 0.784 0.197 0.220
O 0.810 0.840 0.162
O 0.829 0.910 0.947
O 0.883 0.528 0.910
O 0.970 0.182 0.674
O 0.997 0.546 0.712



Entry 3:
Calculated X-ray diffraction stick pattern
Compound: Cr4P3O12
Radiation: Cu Kα (weighted mean of Kα1 and Kα2)
Structure: a GGA+U-relaxed structure
No peak broadening, texture or thermal motion is included.

Main lines, low angle first (2θ = 10–90°):
2theta  d [Å]  I/Imax
11.68  7.577  66
12.72  6.957  63
18.64  4.760  48
19.34  4.590  61
29.22  3.056  79
29.41  3.037  55
29.71  3.007  100
31.02  2.883  80
31.20  2.867  47
31.47  2.843  48

Crystal structure
Lattice parameters (Å, degrees): 7.615 8.207 9.679 108.64 112.73 94.21
Element x y z (fractional)
Cr 0.027 0.304 0.475
Cr 0.261 0.409 0.906
Cr 0.266 0.039 0.919
Cr 0.295 0.110 0.295
Cr 0.705 0.890 0.705
Cr 0.734 0.961 0.081
Cr 0.739 0.591 0.094
Cr 0.973 0.696 0.525
P 0.030 0.760 0.951
P 0.313 0.059 0.616
P 0.397 0.657 0.748
P 0.603 0.343 0.252
P 0.687 0.941 0.384
P 0.970 0.240 0.049
O 0.061 0.220 0.218
O 0.113 0.598 0.939
O 0.118 0.239 0.974
O 0.160 0.885 0.529
O 0.189 0.566 0.603
O 0.194 0.937 0.063
O 0.261 0.173 0.506
O 0.300 0.167 0.777
O 0.401 0.842 0.858
O 0.448 0.537 0.847
O 0.453 0.322 0.320
O 0.479 0.963 0.348
O 0.521 0.037 0.652
O 0.547 0.678 0.680
O 0.552 0.463 0.153
O 0.599 0.158 0.142
O 0.700 0.833 0.223
O 0.739 0.827 0.494
O 0.806 0.063 0.937
O 0.811 0.434 0.397
O 0.840 0.115 0.471
O 0.882 0.761 0.026
O 0.887 0.402 0.061
O 0.939 0.780 0.782



Entry 4:
Calculated X-ray diffraction stick pattern
Compound: CrP4O12
Radiation: Cu Kα (weighted mean of Kα1 and Kα2)
Structure: a GGA+U-relaxed structure
No peak broadening, texture or thermal motion is included.

Main lines, low angle first (2θ = 10–90°):
2theta  d [Å]  I/Imax
12.10  7.317  62
13.05  6.784  100
13.75  6.440  46
17.49  5.072  17
23.44  3.795  56
24.02  3.705  19
24.33  3.659  29
31.74  2.820  23
32.86  2.725  17
35.29  2.543  16

Crystal structure
Lattice parameters (Å, degrees): 5.159 13.568 7.443 90.00 100.53 90.00
Element x y z (fractional)
Cr 0.003 0.000 0.007
Cr 0.997 0.500 0.993
P 0.281 0.589 0.370
P 0.367 0.945 0.399
P 0.476 0.363 0.933
P 0.481 0.138 0.943
P 0.519 0.638 0.057
P 0.524 0.863 0.067
P 0.633 0.445 0.601
P 0.719 0.089 0.630
O 0.125 0.675 0.410
O 0.127 0.508 0.248
O 0.142 0.993 0.263
O 0.203 0.379 0.976
O 0.211 0.122 0.988
O 0.295 0.581 0.944
O 0.304 0.893 0.558
O 0.304 0.923 0.958
O 0.427 0.536 0.551
O 0.447 0.751 0.028
O 0.466 0.376 0.719
O 0.471 0.119 0.729
O 0.529 0.619 0.271
O 0.534 0.876 0.281
O 0.553 0.251 0.972
O 0.573 0.036 0.449
O 0.696 0.393 0.442
O 0.696 0.423 0.042
O 0.705 0.081 0.056
O 0.789 0.622 0.012
O 0.797 0.879 0.024
O 0.858 0.493 0.737
O 0.873 0.008 0.752
O 0.875 0.175 0.590



Entry 5:
Calculated X-ray diffraction stick pattern
Compound: CrP2O7
Radiation: Cu Kα (weighted mean of Kα1 and Kα2)
Structure: a GGA+U-relaxed structure
No peak broadening, texture or thermal motion is included.

Main lines, low angle first (2θ = 10–90°):
2theta  d [Å]  I/Imax
14.83  5.972  42
17.52  5.062  100
17.92  4.951  13
23.19  3.836  27
28.48  3.134  32
29.45  3.033  17
29.90  2.988  90
32.23  2.777  12
35.47  2.531  15
41.76  2.163  13

Crystal structure
Lattice parameters (Å, degrees): 6.846 8.074 9.350 90.00 108.37 90.00
Element x y z (fractional)
Cr 0.220 0.228 0.005
Cr 0.220 0.272 0.505
Cr 0.780 0.728 0.495
Cr 0.780 0.772 0.995
P 0.033 0.587 0.295
P 0.033 0.913 0.795
P 0.432 0.031 0.793
P 0.432 0.469 0.293
P 0.568 0.531 0.707
P 0.568 0.969 0.207
P 0.967 0.087 0.205
P 0.967 0.413 0.705
O 0.017 0.227 0.110
O 0.017 0.273 0.610
O 0.024 0.083 0.862
O 0.024 0.417 0.362
O 0.106 0.095 0.372
O 0.106 0.405 0.872
O 0.265 0.614 0.293
O 0.265 0.886 0.793
O 0.361 0.055 0.156
O 0.361 0.445 0.656
O 0.388 0.102 0.636
O 0.388 0.398 0.136
O 0.414 0.166 0.907
O 0.414 0.334 0.407
O 0.586 0.666 0.593
O 0.586 0.834 0.093
O 0.612 0.602 0.864
O 0.612 0.898 0.364
O 0.639 0.555 0.344
O 0.639 0.945 0.844
O 0.735 0.114 0.207
O 0.735 0.386 0.707
O 0.894 0.595 0.128
O 0.894 0.905 0.628
O 0.976 0.583 0.638
O 0.976 0.917 0.138
O 0.983 0.727 0.390
O 0.983 0.773 0.890



Entry 6:
Calculated X-ray diffraction stick pattern
Compound: CrPO10
Radiation: Cu Kα (weighted mean of Kα1 and Kα2)
Structure: a GGA+U-relaxed structure
No peak broadening, texture or thermal motion is included.

Main lines, low angle first (2θ = 10–90°):
2theta  d [Å]  I/Imax
16.29  5.440  86
18.98  4.675  27
19.28  4.605  38
20.48  4.336  100
21.50  4.134  34
23.45  3.794  23
23.98  3.711  52
25.21  3.533  35
31.30  2.858  44
32.01  2.796  26

Crystal structure
Lattice parameters (Å, degrees): 6.045 6.045 24.126 93.23 93.23 80.39
Element x y z (fractional)
Cr 0.000 0.000 0.000
Cr 0.000 0.000 0.500
Cr 0.191 0.809 0.750
Cr 0.809 0.191 0.250
P 0.301 0.417 0.116
P 0.417 0.301 0.616
P 0.583 0.699 0.384
P 0.699 0.583 0.884
O 0.020 0.164 0.298
O 0.053 0.525 0.109
O 0.084 0.874 0.932
O 0.090 0.740 0.460
O 0.126 0.916 0.568
O 0.164 0.020 0.798
O 0.164 0.204 0.979
O 0.176 0.320 0.636
O 0.178 0.564 0.777
O 0.197 0.715 0.267
O 0.204 0.164 0.479
O 0.260 0.910 0.040
O 0.285 0.803 0.233
O 0.320 0.176 0.136
O 0.415 0.417 0.060
O 0.417 0.415 0.560
O 0.435 0.543 0.160
O 0.436 0.822 0.723
O 0.457 0.565 0.340
O 0.475 0.947 0.391
O 0.525 0.053 0.609
O 0.543 0.435 0.660
O 0.564 0.178 0.277
O 0.565 0.457 0.840
O 0.583 0.585 0.440
O 0.585 0.583 0.940
O 0.680 0.824 0.864
O 0.715 0.197 0.767
O 0.740 0.090 0.960
O 0.796 0.836 0.521
O 0.803 0.285 0.733
O 0.822 0.436 0.223
O 0.824 0.680 0.364
O 0.836 0.796 0.021
O 0.836 0.980 0.202
O 0.874 0.084 0.432
O 0.910 0.260 0.540
O 0.916 0.126 0.068
O 0.947 0.475 0.891
O 0.980 0.836 0.702